# Li2MnF6
Computed powder X-ray diffraction pattern, λ = 1.5418 Å (Cu Kα). Input: a DFT-relaxed cell (GGA+U, the Materials Project).
No peak broadening, texture or thermal motion is included.

Cell and atoms:
Unit cell a=8.468 b=8.476 c=10.128 alpha=85.25 beta=85.83 gamma=61.39
Fractional coordinates of all 54 atoms:
1 Li 0.000 0.000 0.000
2 Li 0.008 0.421 0.540
3 Li 0.063 0.060 0.336
4 Li 0.127 0.249 0.820
5 Li 0.349 0.329 0.301
6 Li 0.373 0.755 0.831
7 Li 0.392 0.393 0.734
8 Li 0.490 0.561 0.227
9 Li 0.562 0.834 0.323
10 Li 0.655 0.035 0.807
11 Li 0.741 0.698 0.044
12 Li 0.829 0.901 0.516
13 Mn 0.013 0.707 0.771
14 Mn 0.020 0.701 0.267
15 Mn 0.348 0.041 0.066
16 Mn 0.352 0.039 0.568
17 Mn 0.679 0.372 0.977
18 Mn 0.681 0.373 0.478
19 F 0.075 0.782 0.612
20 F 0.082 0.785 0.112
21 F 0.096 0.474 0.709
22 F 0.105 0.475 0.214
23 F 0.131 0.130 0.655
24 F 0.133 0.111 0.158
25 F 0.246 0.620 0.826
26 F 0.249 0.621 0.324
27 F 0.251 0.968 0.936
28 F 0.262 0.260 0.470
29 F 0.267 0.253 0.970
30 F 0.284 0.952 0.434
31 F 0.424 0.133 0.700
32 F 0.429 0.828 0.663
33 F 0.433 0.110 0.198
34 F 0.442 0.815 0.157
35 F 0.463 0.455 0.069
36 F 0.467 0.457 0.572
37 F 0.567 0.949 0.969
38 F 0.573 0.956 0.476
39 F 0.581 0.314 0.343
40 F 0.598 0.282 0.847
41 F 0.601 0.595 0.380
42 F 0.602 0.591 0.884
43 F 0.745 0.471 0.104
44 F 0.757 0.150 0.562
45 F 0.767 0.155 0.070
46 F 0.776 0.446 0.600
47 F 0.784 0.804 0.708
48 F 0.789 0.772 0.208
49 F 0.902 0.290 0.388
50 F 0.905 0.281 0.893
51 F 0.937 0.928 0.839
52 F 0.938 0.925 0.338
53 F 0.942 0.631 0.926
54 F 0.943 0.640 0.432

Most intense lines, 10° ≤ 2θ ≤ 90°, in order of rising 2θ:
2θ/deg	I/Imax	(hkl)
20.5	49	1 -1 0
20.7	41	0 1 2
20.9	37	1 0 2
21.0	100	1 2 0
22.4	37	1 1 -2
29.0	22	2 2 2
30.7	13	0 2 -2
41.2	16	3 0 -2
41.5	15	0 3 -2
41.7	19	2 2 4